The following is a simulated PXRD pattern of La4PuCo5. It was derived from DFT lattice parameters and positions (GGA-PBE), using copper Kα.
Neutral-atom scattering factors, no anomalous dispersion.

Structure:
```
data_La4PuCo5
_chemical_formula_sum 'La8 Pu2 Co10'
_space_group_name_H-M_alt 'I 4 m m'
_space_group_IT_number 107
_space_group_name_Hall 'I 4 -2'
_cell_length_a 9.415
_cell_length_b 9.415
_cell_length_c 4.843
_cell_angle_alpha 90.00
_cell_angle_beta 90.00
_cell_angle_gamma 90.00
loop_
_atom_site_label
_atom_site_fract_x
_atom_site_fract_y
_atom_site_fract_z
_atom_site_occupancy
La1 0.000 0.286 0.000 1
Pu1 0.000 0.000 0.389 1
Co1 0.000 0.000 0.878 1
Co2 0.179 0.179 0.513 1
```

Most intense lines, 5 to 70 degrees two-theta, sorted by position:
- (1 1 0), 13.30°, I = 45
- (2 1 1), 28.08°, I = 100
- (3 1 0), 30.01°, I = 25
- (3 0 1), 34.04°, I = 64
- (0 0 2), 37.13°, I = 30
- (4 0 0), 38.24°, I = 35
- (3 2 1), 39.19°, I = 38
- (3 3 0), 40.66°, I = 47
- (5 2 1), 55.91°, I = 27
- (3 3 2), 56.22°, I = 21

---

The following is a simulated PXRD pattern of La12PuCo7. It was derived from DFT lattice parameters and positions (GGA-PBE), using copper Kα.
Neutral-atom scattering factors, no anomalous dispersion.

Structure:
```
data_La12PuCo7
_chemical_formula_sum 'La36 Pu3 Co21'
_space_group_name_H-M_alt 'R -3'
_space_group_IT_number 148
_space_group_name_Hall '-R 3'
_cell_length_a 14.7137
_cell_length_b 14.7137
_cell_length_c 8.9165
_cell_angle_alpha 90.00
_cell_angle_beta 90.00
_cell_angle_gamma 120.00
loop_
_atom_site_label
_atom_site_fract_x
_atom_site_fract_y
_atom_site_fract_z
_atom_site_occupancy
La1 0.0071 0.5748 0.3346 1
La2 0.0430 0.8777 0.2917 1
Pu1 0.0000 0.0000 0.0000 1
Co1 0.0000 0.0000 0.5000 1
Co2 0.0447 0.8626 0.9142 1
```

Most intense lines, 5 to 70 degrees two-theta, sorted by position:
- (1 0 1), 12.07°, I = 51
- (1 3 1), 27.14°, I = 79
- (0 0 3), 30.07°, I = 27
- (5 -2 1), 32.20°, I = 14
- (4 -1 2), 32.32°, I = 100
- (4 -2 3), 38.96°, I = 14
- (5 2 0), 44.40°, I = 46
- (1 3 4), 48.27°, I = 14
- (7 -5 3), 54.55°, I = 26
- (2 6 2), 55.98°, I = 16

---

The following is a simulated PXRD pattern of La5CoRh. It was derived from DFT lattice parameters and positions (GGA-PBE), using copper Kα.
Neutral-atom scattering factors, no anomalous dispersion.

Structure:
```
data_La5CoRh
_chemical_formula_sum 'La10 Co2 Rh2'
_space_group_name_H-M_alt 'P 1 21/m 1'
_space_group_IT_number 11
_space_group_name_Hall '-P 2yb'
_cell_length_a 7.483
_cell_length_b 3.996
_cell_length_c 14.894
_cell_angle_alpha 90.00
_cell_angle_beta 92.75
_cell_angle_gamma 90.00
loop_
_atom_site_label
_atom_site_fract_x
_atom_site_fract_y
_atom_site_fract_z
_atom_site_occupancy
La1 0.083 0.250 0.212 1
La2 0.119 0.250 0.601 1
La3 0.216 0.750 0.991 1
La4 0.362 0.750 0.412 1
La5 0.413 0.250 0.797 1
Co1 0.080 0.250 0.878 1
Rh1 0.381 0.750 0.628 1
```

Most intense lines, 5 to 70 degrees two-theta, sorted by position:
- (1 0 1), 13.51°, I = 49
- (2 0 2), 27.22°, I = 53
- (1 1 -2), 27.77°, I = 87
- (2 0 -3), 29.23°, I = 84
- (0 0 5), 30.03°, I = 89
- (1 1 3), 31.48°, I = 100
- (2 1 0), 32.84°, I = 58
- (2 1 1), 33.59°, I = 32
- (0 2 0), 45.40°, I = 44
- (2 2 -3), 54.90°, I = 33

---

The following is a simulated PXRD pattern of LaCo4Rh. It was derived from DFT lattice parameters and positions (GGA-PBE), using copper Kα.
Neutral-atom scattering factors, no anomalous dispersion.

Structure:
```
data_LaCo4Rh
_chemical_formula_sum 'La4 Co16 Rh4'
_space_group_name_H-M_alt 'F -4 3 m'
_space_group_IT_number 216
_space_group_name_Hall 'F -4 2 3'
_cell_length_a 7.076
_cell_length_b 7.076
_cell_length_c 7.076
_cell_angle_alpha 90.00
_cell_angle_beta 90.00
_cell_angle_gamma 90.00
loop_
_atom_site_label
_atom_site_fract_x
_atom_site_fract_y
_atom_site_fract_z
_atom_site_occupancy
La1 0.000 0.000 0.000 1
Co1 0.124 0.124 0.376 1
Rh1 0.250 0.250 0.750 1
```

Most intense lines, 5 to 70 degrees two-theta, sorted by position:
- (1 1 1), 21.76°, I = 5
- (2 0 0), 25.17°, I = 1
- (2 2 0), 35.90°, I = 54
- (3 1 1), 42.37°, I = 100
- (2 2 2), 44.35°, I = 21
- (3 3 1), 56.71°, I = 2
- (4 2 2), 64.52°, I = 19
- (5 1 1), 68.96°, I = 30

---

The following is a simulated PXRD pattern of LaCo3S. It was derived from DFT lattice parameters and positions (GGA-PBE), using copper Kα.
Neutral-atom scattering factors, no anomalous dispersion.

Structure:
```
data_LaCo3S
_chemical_formula_sum 'La1 Co3 S1'
_space_group_name_H-M_alt 'P m -3 m'
_space_group_IT_number 221
_space_group_name_Hall '-P 4 2 3'
_cell_length_a 4.289
_cell_length_b 4.289
_cell_length_c 4.289
_cell_angle_alpha 90.00
_cell_angle_beta 90.00
_cell_angle_gamma 90.00
loop_
_atom_site_label
_atom_site_fract_x
_atom_site_fract_y
_atom_site_fract_z
_atom_site_occupancy
La1 0.000 0.000 0.000 1
Co1 0.000 0.500 0.500 1
S1 0.500 0.500 0.500 1
```

Most intense lines, 5 to 70 degrees two-theta, sorted by position:
- (1 0 0), 20.71°, I = 5
- (1 1 0), 29.45°, I = 36
- (1 1 1), 36.27°, I = 100
- (2 0 0), 42.13°, I = 73
- (2 1 0), 47.39°, I = 3
- (2 1 1), 52.24°, I = 14
- (2 2 0), 61.11°, I = 46
- (3 0 0), 65.26°, I = 2
- (3 1 0), 69.27°, I = 6

---

The following is a simulated PXRD pattern of LaCoSb3. It was derived from DFT lattice parameters and positions (GGA-PBE), using copper Kα.
Neutral-atom scattering factors, no anomalous dispersion.

Structure:
```
data_LaCoSb3
_chemical_formula_sum 'La8 Co8 Sb24'
_space_group_name_H-M_alt 'P b c m'
_space_group_IT_number 57
_space_group_name_Hall '-P 2c 2b'
_cell_length_a 13.054
_cell_length_b 6.192
_cell_length_c 12.220
_cell_angle_alpha 90.00
_cell_angle_beta 90.00
_cell_angle_gamma 90.00
loop_
_atom_site_label
_atom_site_fract_x
_atom_site_fract_y
_atom_site_fract_z
_atom_site_occupancy
La1 0.198 0.226 0.250 1
La2 0.201 0.750 0.000 1
Co1 0.405 0.039 0.636 1
Sb1 0.002 0.013 0.624 1
Sb2 0.287 0.250 0.000 1
Sb3 0.292 0.731 0.250 1
Sb4 0.445 0.114 0.250 1
Sb5 0.472 0.750 0.000 1
```

Most intense lines, 5 to 70 degrees two-theta, sorted by position:
- (4 0 0), 27.33°, I = 25
- (1 0 4), 30.04°, I = 21
- (2 2 0), 32.00°, I = 53
- (2 0 4), 32.36°, I = 41
- (4 1 2), 34.36°, I = 100
- (3 2 0), 35.59°, I = 19
- (3 0 4), 35.92°, I = 26
- (0 2 4), 41.53°, I = 66
- (4 1 6), 55.19°, I = 23
- (0 0 8), 60.62°, I = 26

---

The following is a simulated PXRD pattern of La8Co2Sb. It was derived from DFT lattice parameters and positions (GGA-PBE), using copper Kα.
Neutral-atom scattering factors, no anomalous dispersion.

Structure:
```
data_La8Co2Sb
_chemical_formula_sum 'La16 Co4 Sb2'
_space_group_name_H-M_alt 'C 1 m 1'
_space_group_IT_number 8
_space_group_name_Hall 'C -2y'
_cell_length_a 9.238
_cell_length_b 13.963
_cell_length_c 5.190
_cell_angle_alpha 90.00
_cell_angle_beta 100.94
_cell_angle_gamma 90.00
loop_
_atom_site_label
_atom_site_fract_x
_atom_site_fract_y
_atom_site_fract_z
_atom_site_occupancy
La1 0.000 0.000 0.000 1
La2 0.078 0.370 0.749 1
La3 0.205 0.120 0.634 1
La4 0.277 0.500 0.414 1
La5 0.382 0.262 0.204 1
Co1 0.402 0.307 0.709 1
Sb1 0.391 0.000 0.193 1
```

Most intense lines, 5 to 70 degrees two-theta, sorted by position:
- (1 3 -1), 26.53°, I = 34
- (2 0 1), 28.73°, I = 74
- (0 4 1), 31.05°, I = 100
- (3 1 -1), 32.07°, I = 65
- (2 4 0), 32.36°, I = 68
- (1 5 0), 33.58°, I = 20
- (0 0 2), 35.22°, I = 19
- (3 3 0), 35.37°, I = 85
- (2 4 2), 51.50°, I = 32
- (2 8 1), 60.87°, I = 24

---

The following is a simulated PXRD pattern of La6Co13Sb. It was derived from DFT lattice parameters and positions (GGA-PBE), using copper Kα.
Neutral-atom scattering factors, no anomalous dispersion.

Structure:
```
data_La6Co13Sb
_chemical_formula_sum 'La24 Co52 Sb4'
_space_group_name_H-M_alt 'I 4/m c m'
_space_group_IT_number 140
_space_group_name_Hall '-I 4 2c'
_cell_length_a 8.081
_cell_length_b 8.081
_cell_length_c 23.142
_cell_angle_alpha 90.00
_cell_angle_beta 90.00
_cell_angle_gamma 90.00
loop_
_atom_site_label
_atom_site_fract_x
_atom_site_fract_y
_atom_site_fract_z
_atom_site_occupancy
La1 0.000 0.000 0.100 1
La2 0.161 0.339 0.180 1
Co1 0.000 0.500 0.000 1
Co2 0.065 0.214 0.500 1
Co3 0.114 0.386 0.412 1
Co4 0.177 0.323 0.056 1
Sb1 0.000 0.000 0.250 1
```

Most intense lines, 5 to 70 degrees two-theta, sorted by position:
- (0 0 2), 7.64°, I = 84
- (2 1 3), 27.25°, I = 84
- (1 1 6), 27.91°, I = 31
- (2 2 0), 31.38°, I = 92
- (2 0 6), 32.08°, I = 46
- (1 1 8), 34.76°, I = 28
- (3 1 0), 35.11°, I = 100
- (2 0 8), 38.27°, I = 43
- (2 1 9), 43.18°, I = 62
- (4 1 1), 46.50°, I = 43

---

The following is a simulated PXRD pattern of La2ScCo. It was derived from DFT lattice parameters and positions (GGA-PBE), using copper Kα.
Neutral-atom scattering factors, no anomalous dispersion.

Structure:
```
data_La2ScCo
_chemical_formula_sum 'La4 Sc2 Co2'
_space_group_name_H-M_alt 'I m m 2'
_space_group_IT_number 44
_space_group_name_Hall 'I 2 -2'
_cell_length_a 3.545
_cell_length_b 5.508
_cell_length_c 10.797
_cell_angle_alpha 90.00
_cell_angle_beta 90.00
_cell_angle_gamma 90.00
loop_
_atom_site_label
_atom_site_fract_x
_atom_site_fract_y
_atom_site_fract_z
_atom_site_occupancy
La1 0.000 0.000 0.000 1
La2 0.000 0.500 0.185 1
Sc1 0.000 0.500 0.815 1
Co1 0.000 0.000 0.483 1
```

Most intense lines, 5 to 70 degrees two-theta, sorted by position:
- (0 0 2), 16.42°, I = 11
- (0 1 1), 18.08°, I = 13
- (1 0 1), 26.46°, I = 27
- (0 1 3), 29.65°, I = 43
- (0 2 0), 32.51°, I = 38
- (0 0 4), 33.19°, I = 12
- (1 1 2), 34.37°, I = 100
- (1 2 1), 42.40°, I = 15
- (1 1 4), 45.32°, I = 20
- (1 3 2), 59.21°, I = 20

---

The following is a simulated PXRD pattern of La4CoSe3. It was derived from DFT lattice parameters and positions (GGA-PBE), using copper Kα.
Neutral-atom scattering factors, no anomalous dispersion.

Structure:
```
data_La4CoSe3
_chemical_formula_sum 'La8 Co2 Se6'
_space_group_name_H-M_alt 'P 1 2/c 1'
_space_group_IT_number 13
_space_group_name_Hall '-P 2yc'
_cell_length_a 7.560
_cell_length_b 8.634
_cell_length_c 7.271
_cell_angle_alpha 90.00
_cell_angle_beta 109.06
_cell_angle_gamma 90.00
loop_
_atom_site_label
_atom_site_fract_x
_atom_site_fract_y
_atom_site_fract_z
_atom_site_occupancy
La1 0.225 0.116 0.010 1
La2 0.239 0.358 0.486 1
Co1 0.000 0.127 0.250 1
Se1 0.000 0.379 0.750 1
Se2 0.500 0.125 0.750 1
Se3 0.500 0.382 0.250 1
```

Most intense lines, 5 to 70 degrees two-theta, sorted by position:
- (1 2 -1), 25.37°, I = 11
- (1 2 1), 29.31°, I = 100
- (2 0 -2), 29.61°, I = 47
- (3 2 -1), 41.50°, I = 35
- (0 4 0), 41.85°, I = 18
- (2 0 2), 42.01°, I = 18
- (1 2 -3), 42.79°, I = 34
- (4 0 0), 51.13°, I = 9
- (2 4 -2), 52.10°, I = 18
- (2 4 2), 60.80°, I = 11

---

The following is a simulated PXRD pattern of LaCo10Si2. It was derived from DFT lattice parameters and positions (GGA-PBE), using copper Kα.
Neutral-atom scattering factors, no anomalous dispersion.

Structure:
```
data_LaCo10Si2
_chemical_formula_sum 'La4 Co40 Si8'
_space_group_name_H-M_alt 'C m c m'
_space_group_IT_number 63
_space_group_name_Hall '-C 2c 2'
_cell_length_a 8.374
_cell_length_b 9.390
_cell_length_c 8.234
_cell_angle_alpha 90.00
_cell_angle_beta 90.00
_cell_angle_gamma 90.00
loop_
_atom_site_label
_atom_site_fract_x
_atom_site_fract_y
_atom_site_fract_z
_atom_site_occupancy
La1 0.000 0.108 0.250 1
Co1 0.000 0.181 0.603 1
Co2 0.000 0.398 0.086 1
Co3 0.139 0.393 0.750 1
Co4 0.235 0.000 0.000 1
Co5 0.249 0.365 0.250 1
Si1 0.250 0.250 0.000 1
```

Most intense lines, 5 to 70 degrees two-theta, sorted by position:
- (1 3 1), 32.41°, I = 17
- (0 2 3), 37.98°, I = 37
- (3 1 2), 40.20°, I = 37
- (4 0 0), 43.21°, I = 36
- (2 2 3), 43.92°, I = 100
- (2 4 0), 44.23°, I = 17
- (0 4 2), 44.42°, I = 48
- (3 3 1), 44.88°, I = 36
- (2 0 4), 49.33°, I = 19
- (2 4 2), 49.74°, I = 22